[1]
Theoretical X-ray powder pattern of TbScGeS for λ = 1.5418 Å (Cu Kα), from a PBE-relaxed structure.
Lines closer than 0.1° are merged.

Largest 12 diffraction maxima, by intensity, 10° ≤ 2θ ≤ 90°:
d = 2.786 Å, rel. 100
d = 1.979 Å, rel. 36
d = 1.961 Å, rel. 35
d = 6.495 Å, rel. 29
d = 3.346 Å, rel. 25
d = 1.603 Å, rel. 18
d = 2.560 Å, rel. 16
d = 1.241 Å, rel. 15
d = 1.251 Å, rel. 15
d = 3.207 Å, rel. 13
d = 1.136 Å, rel. 12
d = 1.393 Å, rel. 11

Crystal structure
Cell: 6.8779 6.8779 6.8779 Å, 33.13 33.13 33.13°
Atoms (fractional coordinates):
1 Tb 0.0000 0.0000 0.0000
2 Sc 0.4991 0.4991 0.4991
3 Ge 0.2439 0.2439 0.2439
4 S 0.7541 0.7541 0.7541


[2]
Theoretical X-ray powder pattern of NaTl12Pd7 for λ = 1.5418 Å (Cu Kα), from a PBE-relaxed structure.
Lines closer than 0.1° are merged.

Largest 12 diffraction maxima, by intensity, 10° ≤ 2θ ≤ 90°:
d = 2.610 Å, rel. 100
d = 2.667 Å, rel. 67
d = 2.684 Å, rel. 65
d = 3.164 Å, rel. 64
d = 2.390 Å, rel. 57
d = 2.895 Å, rel. 47
d = 2.242 Å, rel. 42
d = 2.321 Å, rel. 41
d = 2.252 Å, rel. 39
d = 1.635 Å, rel. 36
d = 1.350 Å, rel. 33
d = 1.622 Å, rel. 30

Crystal structure
Cell: 8.6985 8.6985 8.6985 Å, 111.04 111.04 111.04°
Atoms (fractional coordinates):
1 Na 0.0000 0.0000 0.0000
2 Tl 0.0000 0.2514 0.7486
3 Tl 0.0000 0.7486 0.2514
4 Tl 0.1483 0.4649 0.4649
5 Tl 0.2514 0.0000 0.7486
6 Tl 0.2514 0.7486 0.0000
7 Tl 0.4649 0.1483 0.4649
8 Tl 0.4649 0.4649 0.1483
9 Tl 0.5351 0.5351 0.8517
10 Tl 0.5351 0.8517 0.5351
11 Tl 0.7486 0.0000 0.2514
12 Tl 0.7486 0.2514 0.0000
13 Tl 0.8517 0.5351 0.5351
14 Pd 0.1593 0.1593 0.5104
15 Pd 0.1593 0.5104 0.1593
16 Pd 0.4896 0.8407 0.8407
17 Pd 0.5000 0.5000 0.5000
18 Pd 0.5104 0.1593 0.1593
19 Pd 0.8407 0.4896 0.8407
20 Pd 0.8407 0.8407 0.4896


[3]
Theoretical X-ray powder pattern of Pm2Dy2YEr for λ = 1.5418 Å (Cu Kα), from a PBE-relaxed structure.
Lines closer than 0.1° are merged.

Largest 12 diffraction maxima, by intensity, 10° ≤ 2θ ≤ 90°:
d = 2.822 Å, rel. 100
d = 2.851 Å, rel. 84
d = 1.635 Å, rel. 32
d = 2.006 Å, rel. 30
d = 1.490 Å, rel. 29
d = 2.199 Å, rel. 20
d = 1.630 Å, rel. 19
d = 1.194 Å, rel. 14
d = 1.265 Å, rel. 13
d = 3.510 Å, rel. 12
d = 1.411 Å, rel. 12
d = 1.100 Å, rel. 11

Crystal structure
Cell: 7.0190 5.6423 9.7817 Å, 90.00 90.00 90.00°
Atoms (fractional coordinates):
1 Pm 0.0000 0.0000 0.0000
2 Pm 0.2500 0.5000 0.1744
3 Pm 0.5000 0.0000 0.0000
4 Pm 0.7500 0.5000 0.8256
5 Dy 0.2500 0.0000 0.3308
6 Dy 0.2500 0.5000 0.8369
7 Dy 0.7500 0.0000 0.6692
8 Dy 0.7500 0.5000 0.1631
9 Y 0.0000 0.5000 0.5000
10 Y 0.5000 0.5000 0.5000
11 Er 0.2500 0.0000 0.6603
12 Er 0.7500 0.0000 0.3397


[4]
Theoretical X-ray powder pattern of PrZn4Ag12 for λ = 1.5418 Å (Cu Kα), from a PBE-relaxed structure.
Lines closer than 0.1° are merged.

Largest 12 diffraction maxima, by intensity, 10° ≤ 2θ ≤ 90°:
d = 2.835 Å, rel. 100
d = 2.396 Å, rel. 42
d = 1.758 Å, rel. 31
d = 1.830 Å, rel. 23
d = 1.322 Å, rel. 15
d = 2.004 Å, rel. 15
d = 1.494 Å, rel. 9
d = 1.177 Å, rel. 9
d = 1.537 Å, rel. 9
d = 1.138 Å, rel. 7
d = 1.294 Å, rel. 5
d = 1.268 Å, rel. 5

Crystal structure
Cell: 7.7630 7.7630 7.7630 Å, 109.47 109.47 109.47°
Atoms (fractional coordinates):
1 Pr 0.0000 0.0000 0.0000
2 Zn 0.0000 0.0000 0.5000
3 Zn 0.0000 0.5000 0.0000
4 Zn 0.5000 0.0000 0.0000
5 Zn 0.5000 0.5000 0.5000
6 Ag 0.1565 0.5021 0.3456
7 Ag 0.1565 0.8110 0.6544
8 Ag 0.1890 0.3456 0.8435
9 Ag 0.3456 0.1565 0.5021
10 Ag 0.3456 0.8435 0.1890
11 Ag 0.4979 0.6544 0.8435
12 Ag 0.5021 0.3456 0.1565
13 Ag 0.6544 0.1565 0.8110
14 Ag 0.6544 0.8435 0.4979
15 Ag 0.8110 0.6544 0.1565
16 Ag 0.8435 0.1890 0.3456
17 Ag 0.8435 0.4979 0.6544


[5]
Theoretical X-ray powder pattern of GdCo9Si4 for λ = 1.5418 Å (Cu Kα), from a PBE-relaxed structure.
Lines closer than 0.1° are merged.

Largest 12 diffraction maxima, by intensity, 10° ≤ 2θ ≤ 90°:
d = 2.243 Å, rel. 100
d = 1.907 Å, rel. 36
d = 1.865 Å, rel. 29
d = 2.297 Å, rel. 25
d = 2.533 Å, rel. 22
d = 2.461 Å, rel. 21
d = 1.845 Å, rel. 17
d = 2.438 Å, rel. 17
d = 2.861 Å, rel. 16
d = 1.724 Å, rel. 14
d = 1.598 Å, rel. 12
d = 3.301 Å, rel. 11

Crystal structure
Cell: 7.9030 7.9030 7.9030 Å, 121.61 121.61 87.23°
Atoms (fractional coordinates):
1 Gd 0.2500 0.2500 0.0000
2 Gd 0.7500 0.7500 0.0000
3 Co 0.0000 0.5000 0.5000
4 Co 0.0496 0.5496 0.2381
5 Co 0.0704 0.8012 0.8716
6 Co 0.1885 0.9504 0.5000
7 Co 0.1988 0.0704 0.2692
8 Co 0.3012 0.5704 0.8716
9 Co 0.3115 0.8115 0.7619
10 Co 0.4296 0.3012 0.7308
11 Co 0.4504 0.6885 0.5000
12 Co 0.5000 0.0000 0.5000
13 Co 0.5496 0.3115 0.5000
14 Co 0.5704 0.6988 0.2692
15 Co 0.6885 0.1885 0.2381
16 Co 0.6988 0.4296 0.1284
17 Co 0.8012 0.9296 0.7308
18 Co 0.8115 0.0496 0.5000
19 Co 0.9296 0.1988 0.1284
20 Co 0.9504 0.4504 0.7619
21 Si 0.0465 0.2097 0.5000
22 Si 0.2097 0.7097 0.1632
23 Si 0.2903 0.4535 0.5000
24 Si 0.4535 0.9535 0.1632
25 Si 0.5465 0.0465 0.8368
26 Si 0.7097 0.5465 0.5000
27 Si 0.7903 0.2903 0.8368
28 Si 0.9535 0.7903 0.5000


[6]
Theoretical X-ray powder pattern of CaErInBi for λ = 1.5418 Å (Cu Kα), from a PBE-relaxed structure.
Lines closer than 0.1° are merged.

Largest 12 diffraction maxima, by intensity, 10° ≤ 2θ ≤ 90°:
d = 2.735 Å, rel. 100
d = 1.579 Å, rel. 38
d = 1.934 Å, rel. 18
d = 4.466 Å, rel. 18
d = 1.223 Å, rel. 16
d = 1.367 Å, rel. 12
d = 2.332 Å, rel. 11
d = 3.867 Å, rel. 6
d = 1.775 Å, rel. 5
d = 1.116 Å, rel. 4
d = 1.307 Å, rel. 4
d = 1.489 Å, rel. 4

Crystal structure
Cell: 5.4694 5.4694 5.4694 Å, 60.00 60.00 60.00°
Atoms (fractional coordinates):
1 Ca 0.0000 0.0000 0.0000
2 Er 0.5000 0.5000 0.5000
3 In 0.7500 0.7500 0.7500
4 Bi 0.2500 0.2500 0.2500